1.
For LiPH2O2, a cell relaxed with GGA-PBE gives the calculated X-ray diffraction stick pattern in this record (λ = 1.5418 Å (Cu Kα)).
No peak broadening, texture or thermal motion is included.

Crystal structure
Cell: 5.4889 5.4889 6.5895 Å, 106.14 106.14 60.28°
Fractional positions:
Li (0.2503, 0.7497, 0.0000)
Li (0.7497, 0.2503, 0.0000)
P (0.1895, 0.1895, 0.7256)
P (0.8105, 0.8105, 0.2744)
H (0.0467, 0.6431, 0.4156)
H (0.3569, 0.9533, 0.5844)
H (0.6431, 0.0467, 0.4156)
H (0.9533, 0.3569, 0.5844)
O (0.0832, 0.0832, 0.8557)
O (0.3564, 0.3564, 0.8429)
O (0.6436, 0.6436, 0.1571)
O (0.9168, 0.9168, 0.1443)

Most intense lines, 5° ≤ 2θ ≤ 70°, in order of falling intensity:
Position (°2θ)	d_spacing	I_rel
21.7	4.099	100
25.6	3.483	70
32.5	2.756	25
14.2	6.240	20
18.9	4.699	18
29.1	3.066	13

***

2.
For PmRuO3, a cell relaxed with GGA-PBE gives the calculated X-ray diffraction stick pattern in this record (λ = 1.5418 Å (Cu Kα)).
No peak broadening, texture or thermal motion is included.

Crystal structure
Cell: 3.9638 3.9638 3.9638 Å, 90.00 90.00 90.00°
Fractional positions:
Pm (0.0000, 0.0000, 0.0000)
Ru (0.5000, 0.5000, 0.5000)
O (0.0000, 0.5000, 0.5000)
O (0.5000, 0.0000, 0.5000)
O (0.5000, 0.5000, 0.0000)

Most intense lines, 5° ≤ 2θ ≤ 70°, in order of falling intensity:
Position (°2θ)	d_spacing	I_rel
31.9	2.803	100
56.9	1.618	39
45.8	1.982	29
66.7	1.401	18
39.4	2.289	6
22.4	3.964	1

***

What did the second record say?
For PmRuO3, a cell relaxed with GGA-PBE gives the calculated X-ray diffraction stick pattern in this record (λ = 1.5418 Å (Cu Kα)).
No peak broadening, texture or thermal motion is included.

Crystal structure
Cell: 3.9638 3.9638 3.9638 Å, 90.00 90.00 90.00°
Fractional positions:
Pm (0.0000, 0.0000, 0.0000)
Ru (0.5000, 0.5000, 0.5000)
O (0.0000, 0.5000, 0.5000)
O (0.5000, 0.0000, 0.5000)
O (0.5000, 0.5000, 0.0000)

Most intense lines, 5° ≤ 2θ ≤ 70°, in order of falling intensity:
Position (°2θ)	d_spacing	I_rel
31.9	2.803	100
56.9	1.618	39
45.8	1.982	29
66.7	1.401	18
39.4	2.289	6
22.4	3.964	1